# 1
The following is a theoretical XRD peak list of Cs5SnSe4. It was derived from DFT lattice parameters and positions (PBE), using λ = 1.5418 Å (Cu Kα).
Neutral-atom scattering factors, no anomalous dispersion.

Most intense lines, 10 to 80 degrees two-theta, by intensity:
2θ 31.2, rel. 100, hkl 2 2 2
2θ 26.1, rel. 79, hkl 0 3 1
2θ 19.7, rel. 47, hkl 2 0 1
2θ 21.3, rel. 44, hkl 2 1 1
2θ 33.8, rel. 36, hkl 4 0 0
2θ 43.2, rel. 35, hkl 4 3 1
2θ 26.7, rel. 30, hkl 2 0 2
2θ 20.7, rel. 29, hkl 0 0 2
2θ 45.4, rel. 27, hkl 2 5 1
2θ 23.2, rel. 24, hkl 2 2 0

Cell and atoms:
a b c (Å): 10.596 11.147 8.588
angles (deg): 90.00 90.00 90.00
Space group Pmmn (No. 59, origin choice 2)
Asymmetric unit:
Cs: 0.009 0.056 0.237 x8
Cs: 0.250 0.750 0.350 x2
Sn: 0.250 0.250 0.712 x2
Se: 0.033 0.250 0.887 x4
Se: 0.250 0.044 0.534 x4

# 2
The following is a theoretical XRD peak list of CdSi2P. It was derived from DFT lattice parameters and positions (PBE), using λ = 1.5418 Å (Cu Kα).
Neutral-atom scattering factors, no anomalous dispersion.

Most intense lines, 10 to 80 degrees two-theta, by intensity:
2θ 26.3, rel. 100, hkl 0 1 1
2θ 29.3, rel. 94, hkl 1 0 1
2θ 44.8, rel. 79, hkl 1 1 2
2θ 14.0, rel. 50, hkl 0 0 1
2θ 37.0, rel. 36, hkl 1 1 1
2θ 54.7, rel. 34, hkl 1 2 1
2θ 22.1, rel. 24, hkl 0 1 0
2θ 48.8, rel. 23, hkl 0 1 3
2θ 36.1, rel. 21, hkl 0 1 2
2θ 45.2, rel. 21, hkl 0 2 0

Cell and atoms:
a b c (Å): 3.479 4.015 6.328
angles (deg): 90.00 90.00 90.00
Space group Pmm2 (No. 25)
Asymmetric unit:
Cd: 0.000 0.000 0.000 x1
Si: 0.500 0.000 0.317 x1
Si: 0.500 0.500 0.523 x1
P: 0.000 0.500 0.747 x1

# 3
The following is a theoretical XRD peak list of Sr2Pd4Au5. It was derived from DFT lattice parameters and positions (PBE), using λ = 1.5418 Å (Cu Kα).
Neutral-atom scattering factors, no anomalous dispersion.

Most intense lines, 10 to 80 degrees two-theta, by intensity:
2θ 37.7, rel. 100, hkl 2 0 4
2θ 42.4, rel. 82, hkl 2 2 4
2θ 18.6, rel. 61, hkl 0 2 0
2θ 40.1, rel. 56, hkl 0 0 8
2θ 35.7, rel. 52, hkl 1 3 3
2θ 37.1, rel. 50, hkl 2 2 0
2θ 43.0, rel. 40, hkl 0 4 4
2θ 27.3, rel. 37, hkl 0 2 4
2θ 55.8, rel. 31, hkl 2 2 8
2θ 19.0, rel. 31, hkl 1 1 1

Cell and atoms:
a b c (Å): 5.631 9.530 17.983
angles (deg): 90.00 90.00 90.00
Space group Fmmm (No. 69)
Asymmetric unit:
Sr: 0.000 0.000 0.131 x8
Pd: 0.000 0.166 0.373 x16
Au: 0.000 0.000 0.500 x4
Au: 0.250 0.250 0.000 x8
Au: 0.250 0.250 0.250 x8